Calculated powder XRD pattern
Compound: Y2Mg3Pd2
Radiation: CuKα
Structure: DFT lattice parameters and positions (PBE)

Cell and atoms:
```
Y2Mg3Pd2
1.0
4.2423 0.0000 0.0000
0.0000 21.0948 0.0000
0.0000 0.0000 3.6327
Y Mg Pd
4 6 4
Cartesian
0.0000 3.6205 0.0000
0.0000 17.4743 0.0000
2.1211 6.9269 0.0000
2.1211 14.1679 0.0000
0.0000 0.0000 0.0000
0.0000 8.9646 1.8163
0.0000 12.1302 1.8163
2.1211 1.5828 1.8163
2.1211 10.5474 0.0000
2.1211 19.5120 1.8163
0.0000 6.2132 1.8163
0.0000 14.8816 1.8163
2.1211 4.3342 1.8163
2.1211 16.7606 1.8163
```

Top 8 peaks for 2θ = 10–90°, in order of falling intensity:
- d = 2.569 Å, I 100
- d = 2.309 Å, I 78
- d = 2.736 Å, I 60
- d = 2.457 Å, I 51
- d = 2.121 Å, I 34
- d = 1.816 Å, I 27
- d = 2.526 Å, I 26
- d = 2.637 Å, I 22